[1]
Starting from the PBE+U geometry in the Materials Project, the powder X-ray diffraction pattern of BaSrSmMnO6 was computed for Cu Ka.
Kinematic intensities with the Lorentz-polarization factor, no thermal factor.

Crystal structure
Cell: 5.9335 5.9335 5.9335 Å, 60.00 60.00 60.00°
Fractional positions:
Ba 0.0000 0.0000 0.0000
Sr 0.5000 0.5000 0.5000
Sm 0.7500 0.7500 0.7500
Mn 0.2500 0.2500 0.2500
O 0.0206 0.0206 0.4794
O 0.0206 0.4794 0.0206
O 0.0206 0.4794 0.4794
O 0.4794 0.0206 0.0206
O 0.4794 0.0206 0.4794
O 0.4794 0.4794 0.0206

Most intense lines, 5 to 70 degrees two-theta, in order of rising 2θ:
2θ (°), d/Å, I (rel.)
18.3, 4.845, 11
30.1, 2.967, 100
35.5, 2.530, 9
37.1, 2.422, 3
43.1, 2.098, 32
47.2, 1.925, 6
53.5, 1.713, 39
57.0, 1.615, 3
62.6, 1.483, 19
65.8, 1.418, 3

=====

[2]
Starting from the PBE+U geometry in the Materials Project, the powder X-ray diffraction pattern of Ca2Nd2Nb3FeO14 was computed for Cu Ka.
Kinematic intensities with the Lorentz-polarization factor, no thermal factor.

Crystal structure
Cell: 7.4165 7.4165 7.3725 Å, 119.12 119.12 61.14°
Fractional positions:
Ca 0.0000 0.0000 0.0000
Ca 0.0000 0.0000 0.5000
Nd 0.0000 0.5000 0.0000
Nd 0.5000 0.0000 0.0000
Nb 0.0000 0.5000 0.5000
Nb 0.5000 0.0000 0.5000
Nb 0.5000 0.5000 0.0000
Fe 0.5000 0.5000 0.5000
O 0.1248 0.1248 0.8755
O 0.1745 0.5698 0.4219
O 0.1790 0.5702 0.8241
O 0.1805 0.1805 0.4305
O 0.4230 0.4230 0.1706
O 0.4298 0.8210 0.1759
O 0.4302 0.8255 0.5781
O 0.5698 0.1745 0.4219
O 0.5702 0.1790 0.8241
O 0.5770 0.5770 0.8294
O 0.8195 0.8195 0.5695
O 0.8210 0.4298 0.1759
O 0.8255 0.4302 0.5781
O 0.8752 0.8752 0.1245

Most intense lines, 5 to 70 degrees two-theta, in order of rising 2θ:
2θ (°), d/Å, I (rel.)
16.8, 5.268, 22
29.1, 3.067, 100
29.4, 3.041, 49
29.8, 2.999, 47
34.0, 2.635, 54
48.3, 1.886, 16
48.6, 1.873, 32
49.2, 1.854, 31
49.5, 1.843, 15
57.8, 1.596, 21

=====

[3]
Starting from the PBE+U geometry in the Materials Project, the powder X-ray diffraction pattern of Sr7PrFe4Mo4O24 was computed for Cu Ka.
Kinematic intensities with the Lorentz-polarization factor, no thermal factor.

Crystal structure
Cell: 5.6186 5.6819 18.7949 Å, 82.08 89.96 60.40°
Fractional positions:
Sr 0.0000 0.0000 0.0000
Sr 0.1202 0.7589 0.3703
Sr 0.2479 0.5107 0.7458
Sr 0.3815 0.2513 0.1249
Sr 0.5045 0.9941 0.5069
Sr 0.6262 0.7502 0.8754
Sr 0.7503 0.5053 0.2452
Pr 0.8740 0.2514 0.6271
Fe 0.0590 0.8795 0.1863
Fe 0.1882 0.6265 0.5661
Fe 0.3176 0.3777 0.9363
Fe 0.5640 0.8773 0.6846
Mo 0.4373 0.1295 0.3112
Mo 0.6898 0.6272 0.0606
Mo 0.8114 0.3770 0.4405
Mo 0.9384 0.1269 0.8117
O 0.0008 0.0047 0.5026
O 0.1206 0.7502 0.8728
O 0.1420 0.2803 0.3899
O 0.1660 0.2299 0.8615
O 0.2064 0.0169 0.2596
O 0.2099 0.9884 0.7345
O 0.2570 0.5013 0.2495
O 0.3685 0.2516 0.6245
O 0.4160 0.7644 0.1301
O 0.4479 0.5227 0.0083
O 0.4596 0.7004 0.6143
O 0.4740 0.4794 0.4872
O 0.4931 0.0029 0.9972
O 0.6272 0.7564 0.3780
O 0.6562 0.2709 0.8843
O 0.6799 0.2349 0.3645
O 0.7045 0.0314 0.7603
O 0.7254 0.9756 0.2366
O 0.7604 0.4988 0.7460
O 0.8862 0.2512 0.1229
O 0.9075 0.8060 0.6352
O 0.9311 0.7292 0.1128
O 0.9417 0.5121 0.5174
O 0.9601 0.4881 0.9891

Most intense lines, 5 to 70 degrees two-theta, in order of rising 2θ:
2θ (°), d/Å, I (rel.)
31.5, 2.843, 100
31.7, 2.822, 27
31.9, 2.809, 27
44.6, 2.031, 19
45.6, 1.991, 33
55.9, 1.646, 16
56.3, 1.635, 10
56.4, 1.631, 16
56.5, 1.628, 16
65.7, 1.421, 10

=====

Q: Number 3 is which compound?
A: Sr7PrFe4Mo4O24